No. 1
The following is a theoretical XRD peak list of KSO3. It was derived from a crystal structure in Alexandria, relaxed with PBE, using Cu Kα.

Most intense lines, 2θ from 15° to 90°, low angle first:
17.63 deg, rel. 92.7, hkl 1 1 0
22.38 deg, rel. 100.0, hkl 1 1 1
24.63 deg, rel. 34.6, hkl 2 0 1
30.78 deg, rel. 46.1, hkl 3 0 0
32.91 deg, rel. 87.8, hkl 1 1 2
33.82 deg, rel. 20.0, hkl 3 0 1
39.02 deg, rel. 20.3, hkl 2 1 2
43.21 deg, rel. 18.9, hkl 1 0 3

Cell and atoms:
```
data_KSO3
_cell_length_a 10.064
_cell_length_b 10.064
_cell_length_c 6.471
_cell_angle_alpha 90.00
_cell_angle_beta 90.00
_cell_angle_gamma 120.00
_space_group_name_H-M_alt 'P 1'
_space_group_IT_number 1
loop_
_space_group_symop_operation_xyz
'x,y,z'
loop_
_atom_site_label
_atom_site_type_symbol
_atom_site_fract_x
_atom_site_fract_y
_atom_site_fract_z
K1 K 0.000 0.287 0.000
K2 K 0.000 0.625 0.500
K3 K 0.287 0.000 0.000
K4 K 0.375 0.375 0.500
K5 K 0.625 0.000 0.500
K6 K 0.713 0.713 0.000
S1 S 0.000 0.000 0.329
S2 S 0.000 0.000 0.671
S3 S 0.333 0.667 0.193
S4 S 0.333 0.667 0.848
S5 S 0.667 0.333 0.152
S6 S 0.667 0.333 0.807
O1 O 0.035 0.880 0.730
O2 O 0.120 0.156 0.730
O3 O 0.156 0.120 0.270
O4 O 0.171 0.567 0.792
O5 O 0.235 0.504 0.251
O6 O 0.269 0.765 0.251
O7 O 0.396 0.829 0.792
O8 O 0.433 0.604 0.792
O9 O 0.496 0.731 0.251
O10 O 0.504 0.235 0.749
O11 O 0.567 0.171 0.208
O12 O 0.604 0.433 0.208
O13 O 0.731 0.496 0.749
O14 O 0.765 0.269 0.749
O15 O 0.829 0.396 0.208
O16 O 0.844 0.965 0.730
O17 O 0.880 0.035 0.270
O18 O 0.965 0.844 0.270
```

---

No. 2
The following is a theoretical XRD peak list of CeNd4Pt4. It was derived from a crystal structure in Alexandria, relaxed with PBE, using Cu Kα.

Most intense lines, 2θ from 15° to 90°, low angle first:
17.73 deg, rel. 14.5, hkl 1 0 1
30.17 deg, rel. 44.5, hkl 0 0 2
30.30 deg, rel. 88.6, hkl 1 3 0
43.32 deg, rel. 100.0, hkl 1 3 2
53.75 deg, rel. 34.9, hkl 4 2 2
71.24 deg, rel. 15.5, hkl 1 3 4
71.49 deg, rel. 28.6, hkl 2 6 2
79.54 deg, rel. 21.2, hkl 7 1 2

Cell and atoms:
```
data_CeNd4Pt4
_cell_length_a 9.328
_cell_length_b 9.328
_cell_length_c 5.925
_cell_angle_alpha 90.00
_cell_angle_beta 90.00
_cell_angle_gamma 90.00
_space_group_name_H-M_alt 'P 1'
_space_group_IT_number 1
loop_
_space_group_symop_operation_xyz
'x,y,z'
loop_
_atom_site_label
_atom_site_type_symbol
_atom_site_fract_x
_atom_site_fract_y
_atom_site_fract_z
Ce1 Ce 0.250 0.250 0.250
Ce2 Ce 0.750 0.750 0.750
Nd1 Nd 0.059 0.651 0.249
Nd2 Nd 0.151 0.941 0.749
Nd3 Nd 0.349 0.559 0.749
Nd4 Nd 0.441 0.849 0.249
Nd5 Nd 0.559 0.151 0.751
Nd6 Nd 0.651 0.441 0.251
Nd7 Nd 0.849 0.059 0.251
Nd8 Nd 0.941 0.349 0.751
Pt1 Pt 0.040 0.650 0.749
Pt2 Pt 0.150 0.960 0.249
Pt3 Pt 0.350 0.540 0.249
Pt4 Pt 0.460 0.850 0.749
Pt5 Pt 0.540 0.150 0.251
Pt6 Pt 0.650 0.460 0.751
Pt7 Pt 0.850 0.040 0.751
Pt8 Pt 0.960 0.350 0.251
```

---

No. 3
The following is a theoretical XRD peak list of PuSb2Rh4. It was derived from a crystal structure in Alexandria, relaxed with PBE, using Cu Kα.

Most intense lines, 2θ from 15° to 90°, low angle first:
32.33 deg, rel. 31.4, hkl 1 1 2
32.53 deg, rel. 40.9, hkl 6 0 0
33.70 deg, rel. 63.8, hkl 2 1 2
35.89 deg, rel. 46.1, hkl 3 1 2
36.29 deg, rel. 100.0, hkl 5 1 1
41.70 deg, rel. 66.2, hkl 0 2 0
42.23 deg, rel. 35.4, hkl 5 1 2
43.71 deg, rel. 51.7, hkl 2 1 3

Cell and atoms:
```
data_PuSb2Rh4
_cell_length_a 16.524
_cell_length_b 4.332
_cell_length_c 7.380
_cell_angle_alpha 90.00
_cell_angle_beta 90.00
_cell_angle_gamma 90.00
_space_group_name_H-M_alt 'P 1'
_space_group_IT_number 1
loop_
_space_group_symop_operation_xyz
'x,y,z'
loop_
_atom_site_label
_atom_site_type_symbol
_atom_site_fract_x
_atom_site_fract_y
_atom_site_fract_z
Pu1 Pu 0.147 0.250 0.044
Pu2 Pu 0.353 0.750 0.544
Pu3 Pu 0.647 0.250 0.456
Pu4 Pu 0.853 0.750 0.956
Sb1 Sb 0.024 0.750 0.256
Sb2 Sb 0.199 0.250 0.596
Sb3 Sb 0.301 0.750 0.096
Sb4 Sb 0.476 0.250 0.756
Sb5 Sb 0.524 0.750 0.244
Sb6 Sb 0.699 0.250 0.904
Sb7 Sb 0.801 0.750 0.404
Sb8 Sb 0.976 0.250 0.744
Rh1 Rh 0.040 0.750 0.902
Rh2 Rh 0.057 0.250 0.441
Rh3 Rh 0.178 0.750 0.375
Rh4 Rh 0.211 0.750 0.798
Rh5 Rh 0.289 0.250 0.298
Rh6 Rh 0.322 0.250 0.875
Rh7 Rh 0.443 0.750 0.941
Rh8 Rh 0.460 0.250 0.402
Rh9 Rh 0.540 0.750 0.598
Rh10 Rh 0.557 0.250 0.059
Rh11 Rh 0.678 0.750 0.125
Rh12 Rh 0.711 0.750 0.702
Rh13 Rh 0.789 0.250 0.202
Rh14 Rh 0.822 0.250 0.625
Rh15 Rh 0.943 0.750 0.559
Rh16 Rh 0.960 0.250 0.098
```